Starting from a PBE-relaxed structure, the X-ray powder pattern of LaAlO3 was calculated for λ = 1.5418 Å (Cu Kα).
Kinematic intensities with the Lorentz-polarization factor, no thermal factor.

Structure:
a b c (Å): 7.1534 7.1534 10.2470
angles (deg): 90.00 90.00 59.89
Positions (direct):
La 0.0000 0.0000 0.0000
La 0.0000 0.0000 0.5000
La 0.3286 0.3286 0.0000
La 0.3286 0.3286 0.5000
La 0.6714 0.6714 0.0000
La 0.6714 0.6714 0.5000
Al 0.0764 0.6656 0.2500
Al 0.3344 0.9236 0.2500
Al 0.4056 0.5944 0.7500
Al 0.5944 0.4056 0.2500
Al 0.6656 0.0764 0.7500
Al 0.9236 0.3344 0.7500
O 0.0210 0.3336 0.5928
O 0.0210 0.3336 0.9072
O 0.0937 0.9063 0.2500
O 0.3115 0.6885 0.5902
O 0.3115 0.6885 0.9098
O 0.3336 0.0210 0.0928
O 0.3336 0.0210 0.4072
O 0.3350 0.4247 0.2500
O 0.4247 0.3350 0.7500
O 0.5753 0.6650 0.2500
O 0.6650 0.5753 0.7500
O 0.6664 0.9790 0.5928
O 0.6664 0.9790 0.9072
O 0.6885 0.3115 0.0902
O 0.6885 0.3115 0.4098
O 0.9063 0.0937 0.7500
O 0.9790 0.6664 0.0928
O 0.9790 0.6664 0.4072

Most intense lines, 2θ = 15–90°, by angle:
2θ/deg	intensity
17.31	43
24.91	72
30.49	100
35.03	17
43.46	48
43.87	36
47.49	31
54.36	19
57.33	18
60.04	20

Starting from a PBE-relaxed structure, the X-ray powder pattern of LaAlO3 was calculated for λ = 1.5418 Å (Cu Kα).
Kinematic intensities with the Lorentz-polarization factor, no thermal factor.

Structure:
a b c (Å): 7.3528 7.9260 8.3185
angles (deg): 76.18 83.66 89.67
Positions (direct):
La 0.0277 0.2549 0.4847
La 0.2628 0.4179 0.8178
La 0.2694 0.9233 0.8023
La 0.7306 0.0767 0.1977
La 0.7372 0.5821 0.1822
La 0.9723 0.7451 0.5153
Al 0.2319 0.1048 0.1879
Al 0.2344 0.5490 0.1864
Al 0.4467 0.7690 0.4061
Al 0.5533 0.2310 0.5939
Al 0.7656 0.4510 0.8136
Al 0.7681 0.8952 0.8121
O 0.0209 0.0281 0.3138
O 0.0215 0.5674 0.3083
O 0.2279 0.1186 0.9746
O 0.2322 0.6418 0.9722
O 0.2468 0.3225 0.2053
O 0.2932 0.7208 0.5924
O 0.3094 0.2290 0.6033
O 0.4118 0.9836 0.2822
O 0.4174 0.6236 0.2745
O 0.5826 0.3764 0.7255
O 0.5882 0.0164 0.7178
O 0.6906 0.7710 0.3967
O 0.7068 0.2792 0.4076
O 0.7532 0.6775 0.7947
O 0.7678 0.3582 0.0278
O 0.7721 0.8814 0.0254
O 0.9785 0.4326 0.6917
O 0.9791 0.9719 0.6862

Most intense lines, 2θ = 15–90°, by angle:
2θ/deg	intensity
17.31	51
24.07	22
25.63	28
25.94	14
28.01	100
33.49	19
39.12	14
39.20	14
45.78	18
49.92	17